# 1
The following is a theoretical X-ray diffraction stick pattern of PmSCl. It was derived from DFT lattice parameters and positions (GGA-PBE), using Cu Kα.
Lines closer than 0.1° are merged.

Main lines, sorted by position (5° ≤ 2θ ≤ 70°):
| 2θ (°) | I (rel.) |
| --- | --- |
| 14.5 | 50.5 |
| 20.8 | 100.0 |
| 23.7 | 28.3 |
| 24.4 | 98.0 |
| 27.1 | 37.9 |
| 33.1 | 56.5 |
| 37.5 | 66.4 |
| 40.2 | 26.4 |
| 42.7 | 36.5 |
| 42.8 | 26.0 |

Atomic structure:
Lattice parameters (Å, degrees): 11.078 13.470 8.673 90.00 90.00 90.00
Space group Fdd2 (No. 43)
Unique sites:
Pm  0.057  0.229  0.000 x16
S  0.023  0.129  0.721 x16
Cl  0.087  0.138  0.295 x16

---

# 2
The following is a theoretical X-ray diffraction stick pattern of PmS6Cl2. It was derived from DFT lattice parameters and positions (GGA-PBE), using Cu Kα.
Lines closer than 0.1° are merged.

Main lines, sorted by position (5° ≤ 2θ ≤ 70°):
| 2θ (°) | I (rel.) |
| --- | --- |
| 10.4 | 32.0 |
| 12.7 | 100.0 |
| 18.8 | 36.3 |
| 19.9 | 20.8 |
| 21.1 | 37.6 |
| 24.6 | 21.0 |
| 28.0 | 26.9 |
| 28.6 | 26.1 |
| 31.0 | 29.3 |
| 38.0 | 24.3 |

Atomic structure:
Lattice parameters (Å, degrees): 4.213 7.866 9.151 111.88 92.96 90.78
Space group P-1 (No. 2)
Unique sites:
Pm  0.000  0.000  0.000 x1
S  0.101  0.725  0.448 x2
S  0.106  0.278  0.308 x2
S  0.109  0.496  0.716 x2
Cl  0.499  0.166  0.910 x2

---

# 3
The following is a theoretical X-ray diffraction stick pattern of Pm3S2Cl2. It was derived from DFT lattice parameters and positions (GGA-PBE), using Cu Kα.
Lines closer than 0.1° are merged.

Main lines, sorted by position (5° ≤ 2θ ≤ 70°):
| 2θ (°) | I (rel.) |
| --- | --- |
| 13.4 | 40.9 |
| 27.0 | 26.4 |
| 27.4 | 37.8 |
| 27.7 | 19.7 |
| 31.1 | 100.0 |
| 32.7 | 48.7 |
| 44.6 | 38.0 |
| 45.3 | 37.0 |
| 46.2 | 31.1 |
| 56.4 | 19.7 |

Atomic structure:
Lattice parameters (Å, degrees): 4.057 6.738 7.048 78.84 73.33 90.00
Space group P-1 (No. 2)
Unique sites:
Pm  0.000  0.000  0.000 x1
Pm  0.257  0.749  0.488 x2
S  0.129  0.373  0.741 x2
Cl  0.388  0.162  0.224 x2

---

# 4
The following is a theoretical X-ray diffraction stick pattern of PmS5Cl. It was derived from DFT lattice parameters and positions (GGA-PBE), using Cu Kα.
Lines closer than 0.1° are merged.

Main lines, sorted by position (5° ≤ 2θ ≤ 70°):
| 2θ (°) | I (rel.) |
| --- | --- |
| 14.0 | 58.2 |
| 18.3 | 100.0 |
| 18.5 | 49.7 |
| 27.2 | 81.8 |
| 28.2 | 30.0 |
| 29.3 | 29.6 |
| 34.6 | 30.7 |
| 37.1 | 47.8 |
| 37.4 | 46.0 |
| 39.5 | 42.6 |

Atomic structure:
Lattice parameters (Å, degrees): 6.958 12.676 5.232 90.00 131.07 90.00
Space group C2 (No. 5)
Unique sites:
Pm  0.000  0.000  0.000 x2
S  0.000  0.765  0.000 x2
S  0.121  0.201  0.758 x4
S  0.192  0.933  0.669 x4
Cl  0.000  0.573  0.500 x2

---

# 5
The following is a theoretical X-ray diffraction stick pattern of Pm7SCl12. It was derived from DFT lattice parameters and positions (GGA-PBE), using Cu Kα.
Lines closer than 0.1° are merged.

Main lines, sorted by position (5° ≤ 2θ ≤ 70°):
| 2θ (°) | I (rel.) |
| --- | --- |
| 11.6 | 22.9 |
| 12.3 | 68.4 |
| 16.9 | 14.2 |
| 20.9 | 17.0 |
| 27.3 | 25.6 |
| 30.4 | 16.8 |
| 31.8 | 100.0 |
| 45.3 | 33.5 |
| 45.9 | 34.9 |
| 56.4 | 16.4 |

Atomic structure:
Lattice parameters (Å, degrees): 14.4270 14.4270 9.6437 90.00 90.00 120.00
Space group R-3 (No. 148, hexagonal axes)
Unique sites:
Pm  0.0000  0.0000  0.0000 x3
Pm  0.0429  0.1664  0.3405 x18
S  0.0000  0.0000  0.5000 x3
Cl  0.0255  0.5841  0.1613 x18
Cl  0.0469  0.1809  0.8413 x18

---

# 6
The following is a theoretical X-ray diffraction stick pattern of Pm5Se4Cl. It was derived from DFT lattice parameters and positions (GGA-PBE), using Cu Kα.
Lines closer than 0.1° are merged.

Main lines, sorted by position (5° ≤ 2θ ≤ 70°):
| 2θ (°) | I (rel.) |
| --- | --- |
| 26.0 | 17.7 |
| 26.8 | 5.4 |
| 30.3 | 100.0 |
| 42.9 | 38.6 |
| 44.0 | 35.1 |
| 50.8 | 3.0 |
| 51.3 | 5.8 |
| 53.4 | 20.1 |
| 55.2 | 5.7 |
| 63.1 | 11.9 |

Atomic structure:
Lattice parameters (Å, degrees): 4.2158 4.2158 49.8992 90.00 90.00 120.00
Space group R-3m (No. 166, hexagonal axes)
Unique sites:
Pm  0.0000  0.0000  0.0000 x3
Pm  0.0000  0.0000  0.1992 x6
Pm  0.0000  0.0000  0.4017 x6
Se  0.0000  0.0000  0.1020 x6
Se  0.0000  0.0000  0.2993 x6
Cl  0.0000  0.0000  0.5000 x3

---

# 7
The following is a theoretical X-ray diffraction stick pattern of Pm6Si3Cl. It was derived from DFT lattice parameters and positions (GGA-PBE), using Cu Kα.
Lines closer than 0.1° are merged.

Main lines, sorted by position (5° ≤ 2θ ≤ 70°):
| 2θ (°) | I (rel.) |
| --- | --- |
| 23.8 | 43.7 |
| 25.1 | 93.6 |
| 27.0 | 43.0 |
| 28.2 | 25.3 |
| 32.5 | 100.0 |
| 34.9 | 39.0 |
| 35.8 | 45.1 |
| 39.4 | 21.3 |
| 52.6 | 32.1 |
| 54.0 | 23.9 |

Atomic structure:
Lattice parameters (Å, degrees): 11.620 14.162 7.091 90.00 90.00 90.00
Space group Cmc2_1 (No. 36)
Unique sites:
Pm  0.000  0.010  0.000 x4
Pm  0.000  0.241  0.627 x4
Pm  0.164  0.466  0.585 x8
Pm  0.165  0.264  0.070 x8
Si  0.000  0.398  0.893 x4
Si  0.178  0.107  0.774 x8
Cl  0.000  0.157  0.266 x4

---

# 8
The following is a theoretical X-ray diffraction stick pattern of PmSmCl4. It was derived from DFT lattice parameters and positions (GGA-PBE), using Cu Kα.
Lines closer than 0.1° are merged.

Main lines, sorted by position (5° ≤ 2θ ≤ 70°):
| 2θ (°) | I (rel.) |
| --- | --- |
| 18.0 | 100.0 |
| 28.1 | 18.3 |
| 29.3 | 38.4 |
| 32.4 | 55.2 |
| 32.7 | 26.5 |
| 37.3 | 32.2 |
| 44.3 | 24.6 |
| 46.5 | 19.2 |
| 46.7 | 37.3 |
| 58.0 | 19.1 |

Atomic structure:
Lattice parameters (Å, degrees): 5.523 5.523 10.958 90.00 90.00 90.00
Space group I-4m2 (No. 119)
Unique sites:
Pm  0.000  0.000  0.000 x2
Sm  0.000  0.500  0.250 x2
Cl  0.000  0.000  0.260 x4
Cl  0.000  0.500  0.509 x4

---

# 9
The following is a theoretical X-ray diffraction stick pattern of PmTl2SnCl6. It was derived from DFT lattice parameters and positions (GGA-PBE), using Cu Kα.
Lines closer than 0.1° are merged.

Main lines, sorted by position (5° ≤ 2θ ≤ 70°):
| 2θ (°) | I (rel.) |
| --- | --- |
| 9.5 | 36.4 |
| 12.6 | 34.7 |
| 19.2 | 32.3 |
| 22.4 | 100.0 |
| 23.6 | 37.0 |
| 27.4 | 18.3 |
| 30.6 | 44.4 |
| 33.4 | 18.5 |
| 40.3 | 27.2 |
| 40.8 | 34.6 |

Atomic structure:
Lattice parameters (Å, degrees): 7.546 10.820 9.264 90.00 90.00 90.00
Space group Pmmn (No. 59, origin choice 2)
Unique sites:
Pm  0.250  0.250  0.221 x2
Tl  0.250  0.555  0.823 x4
Sn  0.250  0.750  0.292 x2
Cl  0.009  0.750  0.990 x4
Cl  0.022  0.750  0.595 x4
Cl  0.250  0.501  0.192 x4

---

# 10
The following is a theoretical X-ray diffraction stick pattern of Pm3Te3Cl2. It was derived from DFT lattice parameters and positions (GGA-PBE), using Cu Kα.
Lines closer than 0.1° are merged.

Main lines, sorted by position (5° ≤ 2θ ≤ 70°):
| 2θ (°) | I (rel.) |
| --- | --- |
| 22.8 | 21.1 |
| 26.7 | 15.0 |
| 29.1 | 17.1 |
| 29.8 | 23.8 |
| 32.7 | 100.0 |
| 37.8 | 23.8 |
| 39.6 | 16.4 |
| 44.4 | 15.0 |
| 59.7 | 12.3 |
| 65.1 | 13.3 |

Atomic structure:
Lattice parameters (Å, degrees): 4.080 4.759 23.355 90.00 90.00 90.00
Space group Immm (No. 71)
Unique sites:
Pm  0.000  0.000  0.000 x2
Pm  0.000  0.500  0.165 x4
Te  0.000  0.000  0.500 x2
Te  0.000  0.500  0.381 x4
Cl  0.000  0.000  0.247 x4

---

# 11
The following is a theoretical X-ray diffraction stick pattern of PmTl5Cl8. It was derived from DFT lattice parameters and positions (GGA-PBE), using Cu Kα.
Lines closer than 0.1° are merged.

Main lines, sorted by position (5° ≤ 2θ ≤ 70°):
| 2θ (°) | I (rel.) |
| --- | --- |
| 22.8 | 52.0 |
| 23.2 | 100.0 |
| 29.3 | 36.2 |
| 30.1 | 32.9 |
| 30.2 | 46.1 |
| 35.1 | 31.7 |
| 35.6 | 19.5 |
| 35.8 | 22.1 |
| 43.2 | 20.1 |
| 44.8 | 24.0 |

Atomic structure:
Lattice parameters (Å, degrees): 9.358 9.358 9.677 90.00 90.00 90.00
Space group I-4 (No. 82)
Unique sites:
Pm  0.000  0.000  0.000 x2
Tl  0.000  0.500  0.250 x2
Tl  0.121  0.241  0.617 x8
Cl  0.063  0.167  0.253 x8
Cl  0.073  0.284  0.929 x8

---

# 12
The following is a theoretical X-ray diffraction stick pattern of PmVCl. It was derived from DFT lattice parameters and positions (GGA-PBE), using Cu Kα.
Lines closer than 0.1° are merged.

Main lines, sorted by position (5° ≤ 2θ ≤ 70°):
| 2θ (°) | I (rel.) |
| --- | --- |
| 6.8 | 22.8 |
| 13.6 | 87.2 |
| 27.9 | 48.2 |
| 31.2 | 100.0 |
| 35.5 | 21.7 |
| 37.0 | 60.0 |
| 39.5 | 26.2 |
| 40.7 | 46.0 |
| 53.3 | 20.1 |
| 63.0 | 24.7 |

Atomic structure:
Lattice parameters (Å, degrees): 3.440 3.440 26.068 90.00 90.00 90.00
Space group I4/mmm (No. 139)
Unique sites:
Pm  0.000  0.000  0.121 x4
V  0.000  0.000  0.464 x4
Cl  0.000  0.000  0.317 x4

---

# 13
The following is a theoretical X-ray diffraction stick pattern of Pm3ZnCl3. It was derived from DFT lattice parameters and positions (GGA-PBE), using Cu Kα.
Lines closer than 0.1° are merged.

Main lines, sorted by position (5° ≤ 2θ ≤ 70°):
| 2θ (°) | I (rel.) |
| --- | --- |
| 15.3 | 45.1 |
| 21.8 | 16.1 |
| 26.7 | 33.1 |
| 31.0 | 100.0 |
| 34.7 | 25.5 |
| 44.3 | 72.4 |
| 47.2 | 13.7 |
| 52.5 | 17.5 |
| 55.1 | 25.0 |
| 64.5 | 11.5 |

Atomic structure:
Lattice parameters (Å, degrees): 5.777 5.777 5.777 90.00 90.00 90.00
Space group Pm-3m (No. 221)
Unique sites:
Pm  0.000  0.000  0.500 x3
Zn  0.000  0.000  0.000 x1
Cl  0.000  0.500  0.500 x3